Entry 1:
# InHgTe3
Simulated powder X-ray diffraction pattern, a wavelength of 1.5418 Å. Input: a structure optimized by DFT (GGA-PBE).
No peak broadening, texture or thermal motion is included.

Cell and atoms:
```
10
Lattice="7.217 0.000 0.000 -3.609 6.250 0.000 0.000 0.000 7.658" Properties=species:S:1:pos:R:3 pbc="T T T"
In 0.000 4.167 0.000
In 3.609 2.083 0.000
Hg 0.000 0.000 1.718
Hg 0.000 0.000 5.940
Te -1.378 2.386 1.958
Te -2.231 3.864 5.701
Te 2.755 0.000 1.958
Te 1.378 2.386 5.701
Te 4.462 0.000 5.701
Te 2.231 3.864 1.958
```

Most intense lines, 15 to 90 degrees two-theta, by angle:
2θ/deg	I/Imax
23.23	33.8
27.32	100.0
28.56	25.2
37.13	47.5
43.43	51.2
66.30	26.4



Entry 2:
# NaYNiTe3
Simulated powder X-ray diffraction pattern, a wavelength of 1.5418 Å. Input: a structure optimized by DFT (GGA-PBE).
No peak broadening, texture or thermal motion is included.

Cell and atoms:
```
12
Lattice="8.899 0.000 0.000 0.000 4.193 0.000 -3.061 0.000 9.621" Properties=species:S:1:pos:R:3 pbc="T T T"
Na 1.147 1.048 2.487
Na 4.692 3.145 7.133
Y 0.220 3.145 8.188
Y 5.619 1.048 1.433
Ni -0.988 1.048 5.840
Ni 6.826 3.145 3.781
Te -1.994 1.048 8.186
Te 0.136 3.145 5.029
Te 3.380 3.145 1.626
Te 2.458 1.048 7.994
Te 5.702 1.048 4.592
Te 7.832 3.145 1.434
```

Most intense lines, 15 to 90 degrees two-theta, by angle:
2θ/deg	I/Imax
25.39	30.6
27.82	55.3
29.41	100.0
29.97	32.2
34.23	32.9
42.99	50.6



Entry 3:
# CsSm2CuTe3S
Simulated powder X-ray diffraction pattern, a wavelength of 1.5418 Å. Input: a structure optimized by DFT (GGA-PBE).
No peak broadening, texture or thermal motion is included.

Cell and atoms:
```
16
Lattice="2.185 -7.784 0.000 2.185 7.784 0.000 0.000 0.000 15.187" Properties=species:S:1:pos:R:3 pbc="T T T"
Cs 2.185 6.403 11.391
Cs 2.185 -6.403 3.797
Sm 2.185 2.087 8.728
Sm 2.185 2.087 14.053
Sm 2.185 -2.087 1.135
Sm 2.185 -2.087 6.459
Cu 2.185 5.289 3.797
Cu 2.185 -5.289 11.391
Te 0.000 0.000 0.000
Te 0.000 0.000 7.594
Te 2.185 3.615 1.730
Te 2.185 3.615 5.864
Te 2.185 -3.615 9.323
Te 2.185 -3.615 13.458
S 2.185 1.358 11.391
S 2.185 -1.358 3.797
```

Most intense lines, 15 to 90 degrees two-theta, by angle:
2θ/deg	I/Imax
26.11	63.0
26.67	48.5
27.32	100.0
29.19	72.8
31.74	49.0
39.75	76.2



Entry 4:
# CuNiI6
Simulated powder X-ray diffraction pattern, a wavelength of 1.5418 Å. Input: a structure optimized by DFT (GGA-PBE).
No peak broadening, texture or thermal motion is included.

Cell and atoms:
```
8
Lattice="6.963 0.000 0.000 3.478 6.037 0.000 3.466 2.015 5.940" Properties=species:S:1:pos:R:3 pbc="T T T"
Cu 0.000 0.000 0.000
Ni 6.954 4.026 2.970
I 4.749 3.944 4.429
I 5.783 5.897 1.511
I 7.981 5.978 4.429
I 5.927 2.075 1.512
I 8.125 2.156 4.430
I 9.159 4.109 1.512
```

Most intense lines, 15 to 90 degrees two-theta, by angle:
2θ/deg	I/Imax
17.75	14.9
29.73	100.0
30.09	15.2
39.87	25.6
45.08	27.5
53.19	15.6